Entry 1:
Structure and simulated X-ray powder pattern of Co13W16 (a cell relaxed with GGA-PBE; a wavelength of 1.5418 Å).

Atomic structure:
```
Co13W16
1.0
-4.659 4.659 4.659
4.659 -4.659 4.659
4.659 4.659 -4.659
Co W
13 16
direct
0.000 0.000 0.000 Co
0.000 0.420 0.686 Co
0.000 0.686 0.420 Co
0.266 0.580 0.580 Co
0.314 0.314 0.734 Co
0.314 0.734 0.314 Co
0.420 0.000 0.686 Co
0.420 0.686 0.000 Co
0.580 0.266 0.580 Co
0.580 0.580 0.266 Co
0.686 0.000 0.420 Co
0.686 0.420 0.000 Co
0.734 0.314 0.314 Co
0.000 0.000 0.648 W
0.000 0.200 0.396 W
0.000 0.396 0.200 W
0.000 0.648 0.000 W
0.197 0.800 0.800 W
0.200 0.000 0.396 W
0.200 0.396 0.000 W
0.352 0.352 0.352 W
0.396 0.000 0.200 W
0.396 0.200 0.000 W
0.604 0.604 0.803 W
0.604 0.803 0.604 W
0.648 0.000 0.000 W
0.800 0.197 0.800 W
0.800 0.800 0.197 W
0.803 0.604 0.604 W
```

Principal peaks in the range 2θ = 15–90°, in order of rising 2θ:
Position (°2θ)	intensity
23.39	26
33.31	21
41.10	100
45.67	51
49.91	31
71.61	28



Entry 2:
Structure and simulated X-ray powder pattern of Co12W (a cell relaxed with GGA-PBE; a wavelength of 1.5418 Å).

Atomic structure:
```
Co12W
1.0
2.288 1.321 8.225
-2.288 1.321 8.225
0.000 -2.643 8.225
Co W
12 1
direct
0.046 0.046 0.046 Co
0.078 0.589 0.589 Co
0.149 0.149 0.149 Co
0.337 0.337 0.337 Co
0.411 0.411 0.922 Co
0.411 0.922 0.411 Co
0.589 0.078 0.589 Co
0.589 0.589 0.078 Co
0.663 0.663 0.663 Co
0.851 0.851 0.851 Co
0.922 0.411 0.411 Co
0.954 0.954 0.954 Co
0.500 0.500 0.500 W
```

Principal peaks in the range 2θ = 15–90°, in order of rising 2θ:
Position (°2θ)	intensity
22.72	28
39.37	55
45.35	100
46.52	51
49.57	45
53.01	30



Entry 3:
Structure and simulated X-ray powder pattern of Co4W (a cell relaxed with GGA-PBE; a wavelength of 1.5418 Å).

Atomic structure:
```
Co4W
1.0
8.807 0.000 0.000
0.000 8.807 0.000
0.000 0.000 4.594
Co W
24 6
direct
0.041 0.374 0.000 Co
0.068 0.272 0.500 Co
0.126 0.541 0.500 Co
0.186 0.814 0.248 Co
0.186 0.814 0.752 Co
0.228 0.568 0.000 Co
0.272 0.068 0.500 Co
0.314 0.314 0.252 Co
0.314 0.314 0.748 Co
0.374 0.041 0.000 Co
0.432 0.772 0.000 Co
0.459 0.874 0.500 Co
0.541 0.126 0.500 Co
0.568 0.228 0.000 Co
0.626 0.959 0.000 Co
0.686 0.686 0.252 Co
0.686 0.686 0.748 Co
0.728 0.932 0.500 Co
0.772 0.432 0.000 Co
0.814 0.186 0.248 Co
0.814 0.186 0.752 Co
0.874 0.459 0.500 Co
0.932 0.728 0.500 Co
0.959 0.626 0.000 Co
0.000 0.000 0.500 W
0.112 0.112 0.000 W
0.388 0.612 0.500 W
0.500 0.500 0.000 W
0.612 0.388 0.500 W
0.888 0.888 0.000 W
```

Principal peaks in the range 2θ = 15–90°, in order of rising 2θ:
Position (°2θ)	intensity
42.31	37
44.48	27
45.72	51
46.91	100
48.10	33
76.53	32



Entry 4:
Structure and simulated X-ray powder pattern of Co9W4 (a cell relaxed with GGA-PBE; a wavelength of 1.5418 Å).

Atomic structure:
```
Co9W4
1.0
2.323 1.341 8.397
-2.323 1.341 8.397
0.000 -2.682 8.397
Co W
9 4
direct
0.000 0.000 0.000 Co
0.089 0.089 0.589 Co
0.089 0.589 0.089 Co
0.168 0.168 0.168 Co
0.411 0.911 0.911 Co
0.589 0.089 0.089 Co
0.832 0.832 0.832 Co
0.911 0.411 0.911 Co
0.911 0.911 0.411 Co
0.346 0.346 0.346 W
0.451 0.451 0.451 W
0.549 0.549 0.549 W
0.654 0.654 0.654 W
```

Principal peaks in the range 2θ = 15–90°, in order of rising 2θ:
Position (°2θ)	intensity
22.38	66
38.77	100
42.33	81
44.58	62
45.23	57
45.60	65



Entry 5:
Structure and simulated X-ray powder pattern of Co8W5 (a cell relaxed with GGA-PBE; a wavelength of 1.5418 Å).

Atomic structure:
```
Co8W5
1.0
2.367 1.366 8.452
-2.367 1.366 8.452
0.000 -2.733 8.452
Co W
8 5
direct
0.081 0.594 0.594 Co
0.153 0.153 0.153 Co
0.406 0.406 0.919 Co
0.406 0.919 0.406 Co
0.594 0.081 0.594 Co
0.594 0.594 0.081 Co
0.847 0.847 0.847 Co
0.919 0.406 0.406 Co
0.052 0.052 0.052 W
0.336 0.336 0.336 W
0.500 0.500 0.500 W
0.664 0.664 0.664 W
0.948 0.948 0.948 W
```

Principal peaks in the range 2θ = 15–90°, in order of rising 2θ:
Position (°2θ)	intensity
33.00	37
38.02	100
41.90	38
43.84	63
45.13	46
51.21	33



Entry 6:
Structure and simulated X-ray powder pattern of Co4W9 (a cell relaxed with GGA-PBE; a wavelength of 1.5418 Å).

Atomic structure:
```
Co4W9
1.0
2.561 1.478 8.941
-2.561 1.478 8.941
0.000 -2.957 8.941
Co W
4 9
direct
0.046 0.046 0.046 Co
0.152 0.152 0.152 Co
0.848 0.848 0.848 Co
0.954 0.954 0.954 Co
0.085 0.589 0.589 W
0.332 0.332 0.332 W
0.411 0.411 0.915 W
0.411 0.915 0.411 W
0.500 0.500 0.500 W
0.589 0.085 0.589 W
0.589 0.589 0.085 W
0.668 0.668 0.668 W
0.915 0.411 0.411 W
```

Principal peaks in the range 2θ = 15–90°, in order of rising 2θ:
Position (°2θ)	intensity
20.30	65
40.35	40
40.60	100
42.30	39
44.20	75
47.37	41



Entry 7:
Structure and simulated X-ray powder pattern of Co8W7 (a cell relaxed with GGA-PBE; a wavelength of 1.5418 Å).

Atomic structure:
```
Co8W7
1.0
8.991 0.000 0.000
0.000 8.991 0.000
0.000 0.000 4.953
Co W
16 14
direct
0.033 0.368 0.000 Co
0.061 0.269 0.500 Co
0.132 0.533 0.500 Co
0.231 0.561 0.000 Co
0.269 0.061 0.500 Co
0.368 0.033 0.000 Co
0.439 0.769 0.000 Co
0.467 0.868 0.500 Co
0.533 0.132 0.500 Co
0.561 0.231 0.000 Co
0.632 0.967 0.000 Co
0.731 0.939 0.500 Co
0.769 0.439 0.000 Co
0.868 0.467 0.500 Co
0.939 0.731 0.500 Co
0.967 0.632 0.000 Co
0.000 0.000 0.500 W
0.104 0.104 0.000 W
0.192 0.808 0.249 W
0.192 0.808 0.751 W
0.308 0.308 0.251 W
0.308 0.308 0.749 W
0.396 0.604 0.500 W
0.500 0.500 0.000 W
0.604 0.396 0.500 W
0.692 0.692 0.251 W
0.692 0.692 0.749 W
0.808 0.192 0.249 W
0.808 0.192 0.751 W
0.896 0.896 0.000 W
```

Principal peaks in the range 2θ = 15–90°, in order of rising 2θ:
Position (°2θ)	intensity
41.41	97
41.64	76
42.66	45
42.89	100
45.44	75
72.16	39



Entry 8:
Structure and simulated X-ray powder pattern of Y3Co2 (a cell relaxed with GGA-PBE; a wavelength of 1.5418 Å).

Atomic structure:
```
Y3Co2
1.0
9.300 0.000 0.000
0.000 12.118 0.000
0.000 0.000 3.926
Y Co
12 8
direct
0.072 0.136 0.000 Y
0.126 0.613 0.000 Y
0.195 0.372 0.500 Y
0.305 0.872 0.000 Y
0.374 0.113 0.500 Y
0.428 0.636 0.500 Y
0.572 0.364 0.500 Y
0.626 0.887 0.500 Y
0.695 0.128 0.000 Y
0.805 0.628 0.500 Y
0.874 0.387 0.000 Y
0.928 0.864 0.000 Y
0.118 0.962 0.500 Co
0.142 0.766 0.500 Co
0.358 0.266 0.000 Co
0.382 0.462 0.000 Co
0.618 0.538 0.000 Co
0.642 0.734 0.000 Co
0.858 0.234 0.500 Co
0.882 0.038 0.500 Co
```

Principal peaks in the range 2θ = 15–90°, in order of rising 2θ:
Position (°2θ)	intensity
29.49	13
32.44	19
33.32	100
38.76	33
46.25	19
63.27	11



Entry 9:
Structure and simulated X-ray powder pattern of YCo5 (a cell relaxed with GGA-PBE; a wavelength of 1.5418 Å).

Atomic structure:
```
YCo5
1.0
4.900 0.000 0.000
-2.450 4.243 0.000
0.000 0.000 3.922
Y Co
1 5
direct
0.000 0.000 0.000 Y
0.000 0.500 0.500 Co
0.333 0.667 0.000 Co
0.500 0.000 0.500 Co
0.500 0.500 0.500 Co
0.667 0.333 0.000 Co
```

Principal peaks in the range 2θ = 15–90°, in order of rising 2θ:
Position (°2θ)	intensity
31.05	28
36.68	25
42.61	32
43.56	100
46.30	29
48.80	22



Entry 10:
Structure and simulated X-ray powder pattern of Y2Co7 (a cell relaxed with GGA-PBE; a wavelength of 1.5418 Å).

Atomic structure:
```
Y2Co7
1.0
2.472 1.427 11.983
-2.472 1.427 11.983
0.000 -2.854 11.983
Y Co
4 14
direct
0.051 0.051 0.051 Y
0.148 0.148 0.148 Y
0.852 0.852 0.852 Y
0.949 0.949 0.949 Y
0.000 0.500 0.500 Co
0.110 0.609 0.609 Co
0.279 0.279 0.279 Co
0.389 0.389 0.389 Co
0.391 0.391 0.890 Co
0.391 0.890 0.391 Co
0.500 0.000 0.500 Co
0.500 0.500 0.000 Co
0.500 0.500 0.500 Co
0.609 0.110 0.609 Co
0.609 0.609 0.110 Co
0.611 0.611 0.611 Co
0.721 0.721 0.721 Co
0.890 0.391 0.391 Co
```

Principal peaks in the range 2θ = 15–90°, in order of rising 2θ:
Position (°2θ)	intensity
32.53	22
36.35	33
42.30	30
43.04	100
45.41	21
70.02	21



Entry 11:
Structure and simulated X-ray powder pattern of Zn3Co (a cell relaxed with GGA-PBE; a wavelength of 1.5418 Å).

Atomic structure:
```
Zn3Co
1.0
5.240 0.000 0.000
-2.620 4.538 0.000
0.000 0.000 6.431
Zn Co
9 3
direct
0.000 0.500 0.000 Zn
0.167 0.333 0.333 Zn
0.167 0.833 0.333 Zn
0.333 0.167 0.667 Zn
0.500 0.000 0.000 Zn
0.500 0.500 0.000 Zn
0.667 0.833 0.333 Zn
0.833 0.167 0.667 Zn
0.833 0.667 0.667 Zn
0.000 0.000 0.000 Co
0.333 0.667 0.665 Co
0.667 0.333 0.335 Co
```

Principal peaks in the range 2θ = 15–90°, in order of rising 2θ:
Position (°2θ)	intensity
42.22	100
49.15	47
71.99	14
72.10	14
87.10	8
87.23	25